Structure and theoretical powder diffractogram of AcMn4Cu3O12 (a crystal structure in Alexandria, relaxed with GGA+U; Cu Kα).

Structure:
```
AcMn4Cu3O12
1.0
-3.7680 3.7680 3.7680
3.7680 -3.7680 3.7680
3.7680 3.7680 -3.7680
Ac Mn Cu O
1 4 3 12
direct
0.0000 0.0000 0.0000
0.0000 0.0000 0.5000
0.0000 0.5000 0.0000
0.5000 0.0000 0.0000
0.5000 0.5000 0.5000
0.0000 0.5000 0.5000
0.5000 0.0000 0.5000
0.5000 0.5000 0.0000
0.1406 0.8282 0.3124
0.1718 0.3124 0.4841
0.1718 0.6876 0.8594
0.3124 0.1406 0.8282
0.3124 0.4841 0.1718
0.4841 0.1718 0.3124
0.5159 0.8282 0.6876
0.6876 0.5159 0.8282
0.6876 0.8594 0.1718
0.8282 0.3124 0.1406
0.8282 0.6876 0.5159
0.8594 0.1718 0.6876
```

Top 10 peaks for 2θ from 10° to 90°, sorted by position:
16.64°, intensity 31
23.61°, intensity 11
29.02°, intensity 14
33.64°, intensity 100
37.75°, intensity 16
45.01°, intensity 18
48.31°, intensity 24
60.15°, intensity 47
70.72°, intensity 12
80.63°, intensity 17